Computed powder diffraction line list
Compound: Cu7Te
Radiation: Cu Kα
Structure: a DFT-relaxed cell (PBE, OQMD)
Lines closer than 0.1° are merged.

Crystal structure
```
data_Cu7Te
_chemical_formula_sum 'Cu14 Te2'
_symmetry_space_group_name_H-M 'P 4/n m m'
_symmetry_Int_Tables_number 129
_cell_length_a 2.7802
_cell_length_b 2.7802
_cell_length_c 37.1229
_cell_angle_alpha 90.00
_cell_angle_beta 90.00
_cell_angle_gamma 90.00
loop_
_symmetry_equiv_pos_as_xyz
'x,y,z'
'-x,-y,-z'
'-y+1/2,x,z'
'y+1/2,-x,-z'
'-x+1/2,-y+1/2,z'
'x+1/2,y+1/2,-z'
'y,-x+1/2,z'
'-y,x+1/2,-z'
'x+1/2,-y,-z'
'-x+1/2,y,z'
'-y,-x,-z'
'y,x,z'
'-x,y+1/2,-z'
'x,-y+1/2,z'
'y+1/2,x+1/2,-z'
'-y+1/2,-x+1/2,z'
loop_
_atom_site_label
_atom_site_type_symbol
_atom_site_fract_x
_atom_site_fract_y
_atom_site_fract_z
Cu1 Cu 0.2500 0.2500 0.0209
Cu2 Cu 0.2500 0.2500 0.1040
Cu3 Cu 0.2500 0.2500 0.1871
Cu4 Cu 0.2500 0.2500 0.2705
Cu5 Cu 0.2500 0.2500 0.7711
Cu6 Cu 0.2500 0.2500 0.8543
Cu7 Cu 0.2500 0.2500 0.9375
Te1 Te 0.2500 0.2500 0.6595
```

Top 8 peaks for 10° ≤ 2θ ≤ 90°, low angle first:
d 2.385, I 28, hkl 1 0 8
d 2.146, I 84, hkl 1 0 11
d 2.068, I 94, hkl 1 0 12
d 1.992, I 20, hkl 1 0 13
d 1.965, I 100, hkl 1 1 0
d 1.390, I 30, hkl 2 0 0
d 1.167, I 21, hkl 2 1 11
d 1.154, I 25, hkl 2 1 12

Computed powder diffraction line list
Compound: Cu4Te
Radiation: Cu Kα
Structure: a DFT-relaxed cell (PBE, OQMD)
Lines closer than 0.1° are merged.

Crystal structure
```
data_Cu4Te
_chemical_formula_sum 'Cu24 Te6'
_symmetry_space_group_name_H-M 'P -1'
_symmetry_Int_Tables_number 2
_symmetry_space_group_name_Hall '-P 1'
_cell_length_a 4.4492
_cell_length_b 5.8302
_cell_length_c 28.6590
_cell_angle_alpha 88.36
_cell_angle_beta 90.00
_cell_angle_gamma 73.73
loop_
_atom_site_label
_atom_site_type_symbol
_atom_site_fract_x
_atom_site_fract_y
_atom_site_fract_z
Cu1 Cu 0.0126 0.2255 0.0578
Cu2 Cu 0.0358 0.6854 0.1749
Cu3 Cu 0.1114 0.3523 0.9094
Cu4 Cu 0.1523 0.8133 0.0247
Cu5 Cu 0.1790 0.2730 0.1392
Cu6 Cu 0.2568 0.9432 0.8746
Cu7 Cu 0.2813 0.3960 0.9914
Cu8 Cu 0.3168 0.8521 0.1083
Cu9 Cu 0.3985 0.5051 0.8458
Cu10 Cu 0.4194 0.9824 0.9585
Cu11 Cu 0.4475 0.4338 0.0735
Cu12 Cu 0.4598 0.8997 0.1948
Te1 Te 0.1211 0.8343 0.7859
Te2 Te 0.2050 0.4970 0.2601
Te3 Te 0.3732 0.2003 0.7129
```

Top 8 peaks for 10° ≤ 2θ ≤ 90°, low angle first:
d 2.693, I 43, hkl -1 1 5
d 2.189, I 46, hkl 1 2 8
d 2.172, I 95, hkl 0 1 -12
d 2.112, I 100, hkl 2 1 -4
d 2.089, I 92, hkl 1 2 9
d 2.086, I 48, hkl -1 2 1
d 2.029, I 48, hkl 0 1 -13
d 1.827, I 73, hkl 2 0 8

Computed powder diffraction line list
Compound: Cu16Te
Radiation: Cu Kα
Structure: a DFT-relaxed cell (PBE, OQMD)
Lines closer than 0.1° are merged.

Crystal structure
```
data_Cu16Te
_chemical_formula_sum 'Cu32 Te2'
_symmetry_space_group_name_H-M 'P -1'
_symmetry_Int_Tables_number 2
_symmetry_space_group_name_Hall '-P 1'
_cell_length_a 4.4118
_cell_length_b 5.6593
_cell_length_c 30.3680
_cell_angle_alpha 89.65
_cell_angle_beta 89.96
_cell_angle_gamma 75.24
loop_
_atom_site_label
_atom_site_type_symbol
_atom_site_fract_x
_atom_site_fract_y
_atom_site_fract_z
Cu1 Cu 0.0008 0.2496 0.4445
Cu2 Cu 0.0058 0.2446 0.6690
Cu3 Cu 0.1395 0.8187 0.6365
Cu4 Cu 0.1421 0.8218 0.4122
Cu5 Cu 0.1434 0.3259 0.7492
Cu6 Cu 0.1446 0.3217 0.5243
Cu7 Cu 0.1484 0.3136 0.2984
Cu8 Cu 0.2825 0.3973 0.3796
Cu9 Cu 0.2850 0.8933 0.7188
Cu10 Cu 0.2857 0.3916 0.6044
Cu11 Cu 0.2871 0.8930 0.4922
Cu12 Cu 0.2884 0.8834 0.2673
Cu13 Cu 0.4255 0.9669 0.3476
Cu14 Cu 0.4257 0.4656 0.6837
Cu15 Cu 0.4270 0.9630 0.5726
Cu16 Cu 0.4299 0.4634 0.4602
Te1 Te 0.4286 0.4603 0.2231
```

Top 8 peaks for 10° ≤ 2θ ≤ 90°, low angle first:
d 2.166, I 29, hkl 1 2 8
d 2.144, I 53, hkl 0 1 -13
d 2.099, I 45, hkl 2 1 -4
d 2.077, I 100, hkl 1 -2 0
d 2.070, I 30, hkl 1 -2 1
d 2.055, I 35, hkl 2 1 -5
d 1.850, I 33, hkl -1 1 13
d 1.802, I 57, hkl 2 0 9

Computed powder diffraction line list
Compound: Cu11Te6
Radiation: Cu Kα
Structure: a DFT-relaxed cell (PBE, OQMD)
Lines closer than 0.1° are merged.

Crystal structure
```
data_Cu11Te6
_chemical_formula_sum 'Cu22 Te12'
_symmetry_space_group_name_H-M 'C 1 2/m 1'
_symmetry_Int_Tables_number 12
_symmetry_space_group_name_Hall '-C 2y'
_cell_length_a 8.7813
_cell_length_b 3.0881
_cell_length_c 28.8672
_cell_angle_alpha 90.00
_cell_angle_beta 94.89
_cell_angle_gamma 90.00
loop_
_atom_site_label
_atom_site_type_symbol
_atom_site_fract_x
_atom_site_fract_y
_atom_site_fract_z
Cu1 Cu 0.0000 0.0000 0.0000
Cu2 Cu 0.0433 0.5000 0.1525
Cu3 Cu 0.0884 0.5000 0.9393
Cu4 Cu 0.1184 0.0000 0.0897
Cu5 Cu 0.1699 0.0000 0.8789
Cu6 Cu 0.2055 0.5000 0.0300
Te1 Te 0.0231 0.0000 0.6161
Te2 Te 0.0820 0.0000 0.2968
Te3 Te 0.2312 0.5000 0.8025
```

Top 8 peaks for 10° ≤ 2θ ≤ 90°, low angle first:
d 7.191, I 62, hkl 0 0 4
d 3.858, I 72, hkl 2 0 3
d 3.603, I 61, hkl 2 0 4
d 2.889, I 70, hkl 1 1 1
d 2.765, I 90, hkl 1 1 3
d 2.069, I 99, hkl 3 1 -4
d 2.031, I 89, hkl 3 1 -5
d 2.018, I 100, hkl 1 1 10

- What is the formula in the first record?
  Cu7Te